[1]
Computed powder XRD pattern of Na2Mo3O13 for Cu Kα, 1.54184 Å, from a structure optimized by DFT (PBE+U).
No peak broadening, texture or thermal motion is included.

Most intense lines, 2θ = 10–80°, low angle first:
two_theta	intensity
10.20	97.5
24.21	88.6
26.00	93.7
28.98	100.0
29.26	63.9
29.87	68.8

a = 8.9798 Å, b = 8.9798 Å, c = 11.5869 Å
α = 127.93°, β = 127.93°, γ = 23.06°
Sites, in units of the cell vectors:
Na (0.0000, 0.0000, 0.0000)
Na (0.6813, 0.6813, 0.5949)
Mo (0.4595, 0.4595, 0.5927)
Mo (0.7367, 0.7367, 0.3042)
Mo (0.9531, 0.9531, 0.3008)
O (0.0785, 0.0785, 0.4597)
O (0.2238, 0.2238, 0.0691)
O (0.2877, 0.2877, 0.3583)
O (0.3068, 0.3068, 0.8595)
O (0.4398, 0.4398, 0.3426)
O (0.4524, 0.4524, 0.7350)
O (0.5828, 0.5828, 0.6818)
O (0.6147, 0.6147, 0.1405)
O (0.7264, 0.7264, 0.4453)
O (0.8054, 0.8054, 0.2085)
O (0.8298, 0.8298, 0.8293)
O (0.9245, 0.9245, 0.5191)
O (0.9542, 0.9542, 0.1531)

=====

[2]
Computed powder XRD pattern of K2Mo2O7 for Cu Kα, 1.54184 Å, from a structure optimized by DFT (PBE+U).
No peak broadening, texture or thermal motion is included.

Most intense lines, 2θ = 10–80°, low angle first:
two_theta	intensity
14.64	100.0
26.23	78.0
26.87	54.3
27.51	73.3
28.02	46.6
28.22	65.6

a = 7.1108 Å, b = 7.4240 Å, c = 7.7444 Å
α = 81.66°, β = 68.97°, γ = 85.91°
Sites, in units of the cell vectors:
K (0.1943, 0.3371, 0.3405)
K (0.2544, 0.8794, 0.0650)
K (0.7456, 0.1206, 0.9350)
K (0.8057, 0.6629, 0.6595)
Mo (0.2591, 0.4093, 0.8013)
Mo (0.3298, 0.8499, 0.5540)
Mo (0.6702, 0.1501, 0.4460)
Mo (0.7409, 0.5907, 0.1987)
O (0.0031, 0.5943, 0.1558)
O (0.1230, 0.9574, 0.7106)
O (0.2119, 0.7148, 0.4523)
O (0.3261, 0.2704, 0.9783)
O (0.3515, 0.6466, 0.7652)
O (0.3825, 0.3124, 0.5896)
O (0.4401, 0.0354, 0.3605)
O (0.5599, 0.9646, 0.6395)
O (0.6175, 0.6876, 0.4104)
O (0.6485, 0.3534, 0.2348)
O (0.6739, 0.7296, 0.0217)
O (0.7881, 0.2852, 0.5477)
O (0.8770, 0.0426, 0.2894)
O (0.9969, 0.4057, 0.8442)

=====

[3]
Computed powder XRD pattern of VH10S2N2O8 for Cu Kα, 1.54184 Å, from a structure optimized by DFT (PBE+U).
No peak broadening, texture or thermal motion is included.

Most intense lines, 2θ = 10–80°, low angle first:
two_theta	intensity
16.92	100.0
17.47	26.8
30.16	55.1
34.19	14.1
35.31	25.4
36.45	18.4

a = 7.0750 Å, b = 7.2930 Å, c = 10.1988 Å
α = 90.00°, β = 132.24°, γ = 90.00°
Sites, in units of the cell vectors:
V (0.0000, 0.0000, 0.0000)
V (0.0000, 0.5000, 0.5000)
H (0.1642, 0.0995, 0.5167)
H (0.1642, 0.4005, 0.0167)
H (0.2806, 0.7000, 0.1463)
H (0.2806, 0.8000, 0.6463)
H (0.3251, 0.6891, 0.5395)
H (0.3251, 0.8109, 0.0395)
H (0.3518, 0.6286, 0.9032)
H (0.3518, 0.8714, 0.4032)
H (0.4298, 0.0753, 0.7073)
H (0.4298, 0.4247, 0.2073)
H (0.5702, 0.5753, 0.7927)
H (0.5702, 0.9247, 0.2927)
H (0.6482, 0.1286, 0.5968)
H (0.6482, 0.3714, 0.0968)
H (0.6749, 0.1891, 0.9605)
H (0.6749, 0.3109, 0.4605)
H (0.7194, 0.2000, 0.3537)
H (0.7194, 0.3000, 0.8537)
H (0.8358, 0.5995, 0.9833)
H (0.8358, 0.9005, 0.4833)
S (0.0625, 0.1786, 0.7603)
S (0.0625, 0.3214, 0.2603)
S (0.9375, 0.6786, 0.7397)
S (0.9375, 0.8214, 0.2397)
N (0.1460, 0.1641, 0.9440)
N (0.1460, 0.3359, 0.4440)
N (0.8540, 0.6641, 0.5560)
N (0.8540, 0.8359, 0.0560)
O (0.1555, 0.1410, 0.2373)
O (0.1555, 0.3590, 0.7373)
O (0.2644, 0.7465, 0.8753)
O (0.2644, 0.7535, 0.3753)
O (0.2737, 0.0057, 0.6099)
O (0.2737, 0.4943, 0.1099)
O (0.3080, 0.6664, 0.6306)
O (0.3080, 0.8336, 0.1306)
O (0.6920, 0.1664, 0.8694)
O (0.6920, 0.3336, 0.3694)
O (0.7263, 0.5057, 0.8901)
O (0.7263, 0.9943, 0.3901)
O (0.7356, 0.2465, 0.6247)
O (0.7356, 0.2535, 0.1247)
O (0.8445, 0.6410, 0.2627)
O (0.8445, 0.8590, 0.7627)

=====

[4]
Computed powder XRD pattern of MgTeMoO6 for Cu Kα, 1.54184 Å, from a structure optimized by DFT (PBE+U).
No peak broadening, texture or thermal motion is included.

Most intense lines, 2θ = 10–80°, low angle first:
two_theta	intensity
19.14	54.4
24.11	81.5
25.99	30.8
30.96	100.0
38.80	22.2
49.38	29.0

a = 5.0888 Å, b = 5.3643 Å, c = 9.2729 Å
α = 90.00°, β = 90.00°, γ = 90.00°
Sites, in units of the cell vectors:
Mg (0.0000, 0.0000, 0.0319)
Mg (0.5000, 0.5000, 0.9681)
Te (0.0000, 0.5000, 0.2362)
Te (0.5000, 0.0000, 0.7638)
Mo (0.0000, 0.5000, 0.6965)
Mo (0.5000, 0.0000, 0.3035)
O (0.1588, 0.2897, 0.5841)
O (0.2202, 0.6712, 0.1013)
O (0.2359, 0.1766, 0.2020)
O (0.2641, 0.6766, 0.7980)
O (0.2798, 0.1712, 0.8987)
O (0.3412, 0.7897, 0.4159)
O (0.6588, 0.2103, 0.4159)
O (0.7202, 0.8288, 0.8987)
O (0.7359, 0.3234, 0.7980)
O (0.7641, 0.8234, 0.2020)
O (0.7798, 0.3288, 0.1013)
O (0.8412, 0.7103, 0.5841)

=====

[5]
Computed powder XRD pattern of K2MoO4F4 for Cu Kα, 1.54184 Å, from a structure optimized by DFT (PBE+U).
No peak broadening, texture or thermal motion is included.

Most intense lines, 2θ = 10–80°, low angle first:
two_theta	intensity
16.82	83.3
19.21	87.1
19.70	100.0
26.68	98.2
28.22	90.5
39.99	75.2

a = 6.3602 Å, b = 6.4152 Å, c = 18.5680 Å
α = 90.00°, β = 95.44°, γ = 90.00°
Sites, in units of the cell vectors:
K (0.1895, 0.1485, 0.1003)
K (0.1895, 0.3515, 0.6003)
K (0.2481, 0.6510, 0.2536)
K (0.2481, 0.8490, 0.7536)
K (0.7519, 0.1510, 0.2464)
K (0.7519, 0.3490, 0.7464)
K (0.8105, 0.6485, 0.3997)
K (0.8105, 0.8515, 0.8997)
Mo (0.2838, 0.1672, 0.3696)
Mo (0.2838, 0.3328, 0.8696)
Mo (0.7162, 0.6672, 0.1304)
Mo (0.7162, 0.8328, 0.6304)
O (0.1948, 0.6595, 0.4882)
O (0.1948, 0.8405, 0.9882)
O (0.2393, 0.1809, 0.4588)
O (0.2393, 0.3191, 0.9588)
O (0.4132, 0.5748, 0.1178)
O (0.4132, 0.9252, 0.6178)
O (0.4518, 0.5989, 0.8740)
O (0.4518, 0.9011, 0.3740)
O (0.5482, 0.0989, 0.6260)
O (0.5482, 0.4011, 0.1260)
O (0.5868, 0.0748, 0.3822)
O (0.5868, 0.4252, 0.8822)
O (0.7607, 0.6809, 0.0412)
O (0.7607, 0.8191, 0.5412)
O (0.8052, 0.1595, 0.0118)
O (0.8052, 0.3405, 0.5118)
F (0.0430, 0.1428, 0.8373)
F (0.0430, 0.3572, 0.3373)
F (0.0584, 0.5436, 0.8399)
F (0.0584, 0.9564, 0.3399)
F (0.3162, 0.1675, 0.2587)
F (0.3162, 0.3325, 0.7587)
F (0.4338, 0.0622, 0.8660)
F (0.4338, 0.4378, 0.3660)
F (0.5662, 0.5622, 0.6340)
F (0.5662, 0.9378, 0.1340)
F (0.6838, 0.6675, 0.2413)
F (0.6838, 0.8325, 0.7413)
F (0.9416, 0.0436, 0.6601)
F (0.9416, 0.4564, 0.1601)
F (0.9570, 0.6428, 0.6627)
F (0.9570, 0.8572, 0.1627)

=====

[6]
Computed powder XRD pattern of LaCrMoO6 for Cu Kα, 1.54184 Å, from a structure optimized by DFT (PBE+U).
No peak broadening, texture or thermal motion is included.

Most intense lines, 2θ = 10–80°, low angle first:
two_theta	intensity
19.73	100.0
32.46	94.8
32.55	50.8
38.23	33.7
38.41	22.5
57.86	24.4

a = 5.5007 Å, b = 5.5046 Å, c = 5.5097 Å
α = 119.85°, β = 119.75°, γ = 90.26°
Sites, in units of the cell vectors:
La (0.0000, 0.0000, 0.0000)
Cr (0.2539, 0.7488, 0.4934)
Mo (0.7563, 0.2498, 0.4937)
O (0.0454, 0.4881, 0.4539)
O (0.4426, 0.0071, 0.5536)
O (0.5308, 0.0279, 0.9849)
O (0.5526, 0.5398, 0.4661)
O (0.9696, 0.9720, 0.4917)
O (0.9836, 0.4559, 0.0004)

=====

[7]
Computed powder XRD pattern of CaVGe2O6 for Cu Kα, 1.54184 Å, from a structure optimized by DFT (PBE+U).
No peak broadening, texture or thermal motion is included.

Most intense lines, 2θ = 10–80°, low angle first:
two_theta	intensity
28.39	52.7
28.70	100.0
33.62	52.0
33.69	81.1
34.15	40.5
53.58	33.2

a = 10.3488 Å, b = 9.3030 Å, c = 5.4232 Å
α = 90.00°, β = 104.45°, γ = 90.00°
Sites, in units of the cell vectors:
Ca (0.2344, 0.0467, 0.2090)
Ca (0.2344, 0.4533, 0.7090)
Ca (0.7656, 0.5467, 0.2910)
Ca (0.7656, 0.9533, 0.7910)
V (0.2557, 0.6581, 0.2317)
V (0.2557, 0.8419, 0.7317)
V (0.7443, 0.1581, 0.2683)
V (0.7443, 0.3419, 0.7683)
Ge (0.0290, 0.1522, 0.6667)
Ge (0.0290, 0.3478, 0.1667)
Ge (0.4586, 0.1551, 0.7765)
Ge (0.4586, 0.3449, 0.2765)
Ge (0.5414, 0.6551, 0.7235)
Ge (0.5414, 0.8449, 0.2235)
Ge (0.9710, 0.6522, 0.8333)
Ge (0.9710, 0.8478, 0.3333)
O (0.0960, 0.5159, 0.2708)
O (0.0960, 0.9841, 0.7708)
O (0.1100, 0.2346, 0.4439)
O (0.1100, 0.2654, 0.9439)
O (0.1417, 0.6655, 0.8460)
O (0.1417, 0.8345, 0.3460)
O (0.3658, 0.6553, 0.6299)
O (0.3658, 0.8447, 0.1299)
O (0.3676, 0.0121, 0.6199)
O (0.3676, 0.4879, 0.1199)
O (0.4008, 0.1931, 0.0615)
O (0.4008, 0.3069, 0.5615)
O (0.5992, 0.6931, 0.4385)
O (0.5992, 0.8069, 0.9385)
O (0.6324, 0.5121, 0.8801)
O (0.6324, 0.9879, 0.3801)
O (0.6342, 0.1553, 0.8701)
O (0.6342, 0.3447, 0.3701)
O (0.8583, 0.1655, 0.6540)
O (0.8583, 0.3345, 0.1540)
O (0.8900, 0.7346, 0.0561)
O (0.8900, 0.7654, 0.5561)
O (0.9040, 0.0159, 0.2292)
O (0.9040, 0.4841, 0.7292)

=====

[8]
Computed powder XRD pattern of Li4Co3Sn5O16 for Cu Kα, 1.54184 Å, from a structure optimized by DFT (PBE+U).
No peak broadening, texture or thermal motion is included.

Most intense lines, 2θ = 10–80°, low angle first:
two_theta	intensity
17.99	73.0
18.96	100.0
19.06	88.1
24.63	50.0
34.63	70.0
35.05	46.7

a = 6.1618 Å, b = 9.8641 Å, c = 10.5833 Å
α = 89.83°, β = 89.39°, γ = 89.51°
Sites, in units of the cell vectors:
Li (0.0000, 0.0000, 0.0000)
Li (0.0002, 0.0952, 0.6590)
Li (0.0068, 0.5821, 0.6466)
Li (0.0107, 0.4857, 0.3418)
Li (0.4988, 0.0935, 0.1597)
Li (0.5047, 0.0000, 0.5047)
Li (0.5082, 0.4890, 0.8371)
Li (0.5095, 0.5800, 0.1501)
Co (0.0050, 0.8111, 0.4979)
Co (0.2476, 0.3102, 0.0889)
Co (0.2599, 0.3081, 0.5851)
Co (0.5041, 0.8113, 0.9983)
Co (0.7447, 0.3117, 0.5887)
Co (0.7593, 0.3049, 0.0866)
Sn (0.0020, 0.0916, 0.3421)
Sn (0.0040, 0.3105, 0.8391)
Sn (0.0097, 0.5802, 0.0095)
Sn (0.2527, 0.8084, 0.2549)
Sn (0.2576, 0.8112, 0.7521)
Sn (0.4988, 0.0912, 0.8396)
Sn (0.5072, 0.3091, 0.3417)
Sn (0.5091, 0.5809, 0.5055)
Sn (0.7510, 0.8114, 0.7518)
Sn (0.7596, 0.8087, 0.2549)
O (0.0041, 0.6905, 0.8298)
O (0.0044, 0.9069, 0.6562)
O (0.0065, 0.7011, 0.3462)
O (0.0058, 0.9397, 0.1865)
O (0.0285, 0.4306, 0.1553)
O (0.2178, 0.9305, 0.4178)
O (0.2297, 0.4401, 0.9274)
O (0.2415, 0.1878, 0.7519)
O (0.2424, 0.6979, 0.5820)
O (0.2611, 0.1902, 0.2527)
O (0.2609, 0.6912, 0.0910)
O (0.2727, 0.9391, 0.9072)
O (0.2856, 0.4439, 0.4263)
O (0.4827, 0.1987, 0.0072)
O (0.5040, 0.9402, 0.6822)
O (0.5054, 0.6957, 0.8284)
O (0.5058, 0.9095, 0.1733)
O (0.5072, 0.6885, 0.3298)
O (0.5128, 0.1988, 0.5034)
O (0.5207, 0.3962, 0.1644)
O (0.5229, 0.4389, 0.6526)
O (0.7305, 0.9418, 0.9062)
O (0.7335, 0.4403, 0.4257)
O (0.7469, 0.1876, 0.2438)
O (0.7550, 0.1940, 0.7518)
O (0.7563, 0.6912, 0.0914)
O (0.7722, 0.6985, 0.5813)
O (0.7773, 0.4365, 0.9399)
O (0.7893, 0.9293, 0.4181)
O (0.9882, 0.1994, 0.5050)
O (0.9902, 0.2051, 0.0091)
O (0.9990, 0.4016, 0.6680)